Sc3IrO: computed X-ray powder pattern (Cu Kα (λ = 1.5418 Å)), based on DFT lattice parameters and positions (GGA-PBE).
Peak positions follow from Bragg's law for the DFT cell and can differ from measured ones.

Atomic structure:
Cell: 7.1033 3.3051 7.4407 Å, 90.00 107.67 90.00°
Fractional positions:
Sc 0.0696 0.0000 0.3232
Sc 0.3058 0.0000 0.0429
Sc 0.3273 0.5000 0.6841
Sc 0.6727 0.5000 0.3159
Sc 0.6942 0.0000 0.9571
Sc 0.9304 0.0000 0.6768
Ir 0.0000 0.5000 0.0000
Ir 0.5000 0.0000 0.5000
O 0.0000 0.5000 0.5000
O 0.5000 0.5000 0.0000

Main lines, sorted by position (2θ from 10° to 90°):
2θ/deg, d_spacing, I_rel
15.1, 5.865, 100
20.7, 4.289, 63
25.1, 3.545, 60
26.3, 3.384, 46
29.8, 2.996, 48
30.1, 2.970, 43
36.8, 2.442, 88
37.5, 2.401, 79
42.2, 2.142, 67
42.8, 2.113, 45